This entry pairs a crystal structure of InTc3 with its calculated X-ray diffraction stick pattern. Radiation: a wavelength of 1.5418 Å. Structure: the PBE geometry in the Materials Project.
Peak positions follow from Bragg's law for the DFT cell and can differ from measured ones.

Atomic structure:
```
data_InTc3
_chemical_formula_sum 'In2 Tc6'
_cell_length_a 3.876
_cell_length_b 3.876
_cell_length_c 8.461
_cell_angle_alpha 90.00
_cell_angle_beta 90.00
_cell_angle_gamma 90.00
_space_group_name_H-M_alt 'I 4/m m m'
_space_group_IT_number 139
_space_group_name_Hall '-I 4 2'
loop_
_atom_site_label
_atom_site_fract_x
_atom_site_fract_y
_atom_site_fract_z
In1 0.000 0.000 0.000
Tc1 0.000 0.000 0.500
Tc2 0.000 0.500 0.250
```

The 5 most intense peaks (2θ = 5–70°), low angle first:
| (hkl) | two_theta | I/Imax |
| --- | --- | --- |
| 1 1 2 | 39.16 | 1000 |
| 0 0 4 | 42.75 | 194 |
| 2 0 0 | 46.88 | 296 |
| 2 0 4 | 65.30 | 213 |
| 2 2 0 | 68.47 | 92 |